Structure and computed X-ray powder pattern of Ba4LiCu (a structure optimized by DFT (PBE); Cu Kα).
Neutral-atom scattering factors, no anomalous dispersion.

Crystal structure
```
data_Ba4LiCu
_chemical_formula_sum 'Ba8 Li2 Cu2'
_cell_length_a 8.4933
_cell_length_b 8.1389
_cell_length_c 8.7384
_cell_angle_alpha 90.00
_cell_angle_beta 99.72
_cell_angle_gamma 90.00
_symmetry_space_group_name_H-M 'P 1 21/c 1'
_symmetry_Int_Tables_number 14
loop_
_symmetry_equiv_pos_as_xyz
'x,y,z'
'-x,-y,-z'
'-x,y+1/2,-z+1/2'
'x,-y+1/2,z+1/2'
loop_
_atom_site_label
_atom_site_fract_x
_atom_site_fract_y
_atom_site_fract_z
Ba1 0.1364 0.1699 0.2005
Ba2 0.3348 0.6469 0.1248
Li1 0.5000 0.0000 0.0000
Cu1 0.0000 0.0000 0.5000
```

Peak list (8 most intense, 5° ≤ 2θ ≤ 70°, in order of falling intensity)
h k l  d_spacing  two_theta  I/Imax
0 2 1  3.679  24.2  100
2 1 0  3.722  23.9  66
1 0 2  3.591  24.8  31
2 3 -1  2.253  40.0  28
3 1 2  2.104  43.0  26
0 1 1  5.916  15.0  22
1 1 -3  2.705  33.1  21
1 2 3  2.182  41.4  21

=====

Structure and computed X-ray powder pattern of RuIBrCl2 (a structure optimized by DFT (PBE); Cu Kα).
Neutral-atom scattering factors, no anomalous dispersion.

Crystal structure
```
data_RuIBrCl2
_chemical_formula_sum 'Ru1 I1 Br1 Cl2'
_cell_length_a 4.9956
_cell_length_b 4.9956
_cell_length_c 5.7192
_cell_angle_alpha 90.00
_cell_angle_beta 90.00
_cell_angle_gamma 90.00
_symmetry_space_group_name_H-M 'P 4/m m m'
_symmetry_Int_Tables_number 123
_symmetry_space_group_name_Hall '-P 4 2'
loop_
_atom_site_label
_atom_site_fract_x
_atom_site_fract_y
_atom_site_fract_z
Ru1 0.0000 0.0000 0.0000
I1 0.5000 0.5000 0.0000
Br1 0.0000 0.0000 0.5000
Cl1 0.0000 0.5000 0.5000
```

Peak list (8 most intense, 5° ≤ 2θ ≤ 70°, in order of falling intensity)
h k l  d_spacing  two_theta  I/Imax
1 1 1  3.005  29.7  100
2 0 0  2.498  36.0  90
1 1 0  3.532  25.2  88
2 0 2  1.881  48.4  75
0 0 2  2.860  31.3  67
1 1 2  2.223  40.6  51
1 0 1  3.762  23.6  40
2 2 2  1.503  61.7  35

=====

Structure and computed X-ray powder pattern of K12Na3Ag (a structure optimized by DFT (PBE); Cu Kα).
Neutral-atom scattering factors, no anomalous dispersion.

Crystal structure
```
data_K12Na3Ag
_chemical_formula_sum 'K12 Na3 Ag1'
_cell_length_a 6.1683
_cell_length_b 6.1683
_cell_length_c 24.4710
_cell_angle_alpha 90.00
_cell_angle_beta 90.00
_cell_angle_gamma 90.00
_symmetry_space_group_name_H-M 'P 4/m m m'
_symmetry_Int_Tables_number 123
_symmetry_space_group_name_Hall '-P 4 2'
loop_
_atom_site_label
_atom_site_fract_x
_atom_site_fract_y
_atom_site_fract_z
K1 0.0000 0.0000 0.0000
K2 0.0000 0.0000 0.2366
K3 0.0000 0.0000 0.5000
K4 0.0000 0.5000 0.1061
K5 0.0000 0.5000 0.3682
Na1 0.5000 0.5000 0.2385
Na2 0.5000 0.5000 0.5000
Ag1 0.5000 0.5000 0.0000
```

Peak list (8 most intense, 5° ≤ 2θ ≤ 70°, in order of falling intensity)
h k l  d_spacing  two_theta  I/Imax
1 1 4  3.551  25.1  100
2 0 0  3.084  29.0  37
3 1 4  1.858  49.0  27
2 0 8  2.172  41.6  19
0 0 8  3.059  29.2  15
2 2 0  2.181  41.4  13
0 0 2  12.235  7.2  12
2 2 8  1.776  51.5  9

=====

Structure and computed X-ray powder pattern of PdClF2 (a structure optimized by DFT (PBE); Cu Kα).
Neutral-atom scattering factors, no anomalous dispersion.

Crystal structure
```
data_PdClF2
_chemical_formula_sum 'Pd4 Cl4 F8'
_cell_length_a 9.4207
_cell_length_b 5.6327
_cell_length_c 5.9342
_cell_angle_alpha 90.00
_cell_angle_beta 122.49
_cell_angle_gamma 90.00
_symmetry_space_group_name_H-M 'C 1 c 1'
_symmetry_Int_Tables_number 9
loop_
_symmetry_equiv_pos_as_xyz
'x,y,z'
'x,-y,z+1/2'
'x+1/2,y+1/2,z'
'x+1/2,-y+1/2,z+1/2'
loop_
_atom_site_label
_atom_site_fract_x
_atom_site_fract_y
_atom_site_fract_z
Pd1 0.0000 0.2370 0.0000
Cl1 0.0808 0.4040 0.7305
F1 0.2522 0.1435 0.2560
F2 0.4425 0.4351 0.7560
```

Peak list (8 most intense, 5° ≤ 2θ ≤ 70°, in order of falling intensity)
h k l  d_spacing  two_theta  I/Imax
1 1 -1  4.074  21.8  100
2 0 0  3.973  22.4  61
2 0 -2  2.955  30.2  60
3 1 -3  1.856  49.1  20
3 1 1  1.841  49.5  20
2 2 -2  2.037  44.5  19
0 2 2  1.871  48.7  15
3 3 -1  1.611  57.2  15

=====

Structure and computed X-ray powder pattern of In16Ga12Bi (a structure optimized by DFT (PBE); Cu Kα).
Neutral-atom scattering factors, no anomalous dispersion.

Crystal structure
```
data_In16Ga12Bi
_chemical_formula_sum 'In16 Ga12 Bi1'
_cell_length_a 9.1427
_cell_length_b 9.2689
_cell_length_c 10.2071
_cell_angle_alpha 109.59
_cell_angle_beta 106.14
_cell_angle_gamma 107.77
_symmetry_space_group_name_H-M 'P 1'
_symmetry_Int_Tables_number 1
loop_
_symmetry_equiv_pos_as_xyz
'x,y,z'
loop_
_atom_site_label
_atom_site_fract_x
_atom_site_fract_y
_atom_site_fract_z
In1 0.0000 0.0000 0.0000
In2 0.0002 0.4136 0.6768
In3 0.0048 0.7264 0.2747
In4 0.2892 0.0999 0.3618
In5 0.3098 0.4054 0.2607
In6 0.3296 0.0008 0.6758
In7 0.3567 0.4018 0.6838
In8 0.3920 0.8021 0.3662
In9 0.4049 0.1033 0.0840
In10 0.5764 0.7273 0.6581
In11 0.6788 0.0785 0.3532
In12 0.6801 0.0747 0.9525
In13 0.6895 0.7017 0.3605
In14 0.6914 0.8060 0.0754
In15 0.9810 0.3930 0.0013
In16 0.9818 0.7611 0.6648
Ga1 0.0110 0.2300 0.3189
Ga2 0.0191 0.0528 0.5024
Ga3 0.1463 0.7520 0.0259
Ga4 0.1792 0.5938 0.4941
Ga5 0.1806 0.1990 0.8551
Ga6 0.3386 0.5601 0.0218
Ga7 0.3404 0.7548 0.8462
Ga8 0.6272 0.4156 0.4875
Ga9 0.6325 0.2250 0.6607
Ga10 0.7919 0.5913 0.8339
Ga11 0.8105 0.4044 0.3120
Ga12 0.8224 0.0452 0.6786
Bi1 0.6117 0.4114 0.0002
```

Peak list (8 most intense, 5° ≤ 2θ ≤ 70°, in order of falling intensity)
h k l  d_spacing  two_theta  I/Imax
0 3 0  2.612  34.3  100
3 0 0  2.632  34.1  87
3 0 -3  2.562  35.0  75
3 -2 1  2.601  34.5  65
0 0 3  2.903  30.8  63
-2 3 1  2.547  35.2  56
2 -1 2  2.801  32.0  51
2 2 -3  2.578  34.8  47

=====

Structure and computed X-ray powder pattern of Mn5BeCr2Re2 (a structure optimized by DFT (PBE); Cu Kα).
Neutral-atom scattering factors, no anomalous dispersion.

Crystal structure
```
data_Mn5BeCr2Re2
_chemical_formula_sum 'Mn10 Be2 Cr4 Re4'
_cell_length_a 9.1077
_cell_length_b 9.1077
_cell_length_c 2.8186
_cell_angle_alpha 90.00
_cell_angle_beta 90.00
_cell_angle_gamma 90.00
_symmetry_space_group_name_H-M 'P 4/m b m'
_symmetry_Int_Tables_number 127
_symmetry_space_group_name_Hall '-P 4 2ab'
loop_
_atom_site_label
_atom_site_fract_x
_atom_site_fract_y
_atom_site_fract_z
Mn1 0.0000 0.5000 0.0000
Mn2 0.0514 0.1871 0.0000
Be1 0.0000 0.0000 0.5000
Cr1 0.1364 0.3636 0.5000
Re1 0.1758 0.6758 0.5000
```

Peak list (8 most intense, 5° ≤ 2θ ≤ 70°, in order of falling intensity)
h k l  d_spacing  two_theta  I/Imax
3 1 1  2.014  45.0  100
4 1 0  2.209  40.9  95
3 3 0  2.147  42.1  86
2 1 1  2.318  38.9  59
2 0 1  2.397  37.5  58
2 1 0  4.073  21.8  53
2 0 0  4.554  19.5  43
1 1 0  6.440  13.8  29

=====

Structure and computed X-ray powder pattern of LaBe2CuPd5 (a structure optimized by DFT (PBE); Cu Kα).
Neutral-atom scattering factors, no anomalous dispersion.

Crystal structure
```
data_LaBe2CuPd5
_chemical_formula_sum 'La1 Be2 Cu1 Pd5'
_cell_length_a 4.4337
_cell_length_b 4.4337
_cell_length_c 7.1265
_cell_angle_alpha 90.00
_cell_angle_beta 90.00
_cell_angle_gamma 90.00
_symmetry_space_group_name_H-M 'P 4/m m m'
_symmetry_Int_Tables_number 123
_symmetry_space_group_name_Hall '-P 4 2'
loop_
_atom_site_label
_atom_site_fract_x
_atom_site_fract_y
_atom_site_fract_z
La1 0.0000 0.0000 0.0000
Be1 0.5000 0.5000 0.3395
Cu1 0.0000 0.0000 0.5000
Pd1 0.0000 0.5000 0.2930
Pd2 0.5000 0.5000 0.0000
```

Peak list (8 most intense, 5° ≤ 2θ ≤ 70°, in order of falling intensity)
h k l  d_spacing  two_theta  I/Imax
1 1 2  2.354  38.2  100
2 0 0  2.217  40.7  52
1 1 1  2.870  31.2  30
2 2 0  1.568  58.9  17
2 0 3  1.621  56.8  17
0 0 3  2.376  37.9  14
2 0 4  1.389  67.4  10
3 1 1  1.376  68.2  6

=====

Structure and computed X-ray powder pattern of Ac4Ni2Pd (a structure optimized by DFT (PBE); Cu Kα).
Neutral-atom scattering factors, no anomalous dispersion.

Crystal structure
```
data_Ac4Ni2Pd
_chemical_formula_sum 'Ac4 Ni2 Pd1'
_cell_length_a 7.0465
_cell_length_b 4.3023
_cell_length_c 7.8527
_cell_angle_alpha 90.00
_cell_angle_beta 104.79
_cell_angle_gamma 90.00
_symmetry_space_group_name_H-M 'P 1 2/m 1'
_symmetry_Int_Tables_number 10
loop_
_symmetry_equiv_pos_as_xyz
'x,y,z'
'-x,-y,-z'
'-x,y,-z'
'x,-y,z'
loop_
_atom_site_label
_atom_site_fract_x
_atom_site_fract_y
_atom_site_fract_z
Ac1 0.0750 0.0000 0.2515
Ac2 0.4187 0.5000 0.7548
Ni1 0.3297 0.0000 0.9992
Pd1 0.0000 0.5000 0.5000
```

Peak list (8 most intense, 5° ≤ 2θ ≤ 70°, in order of falling intensity)
h k l  d_spacing  two_theta  I/Imax
1 1 -2  2.826  31.7  100
1 1 0  3.638  24.5  78
1 1 2  2.464  36.5  71
3 1 -1  2.060  44.0  58
0 0 2  3.796  23.4  48
2 0 1  2.848  31.4  48
1 1 -1  3.470  25.7  42
0 2 4  1.424  65.6  37

=====

Structure and computed X-ray powder pattern of TlCdPd4 (a structure optimized by DFT (PBE); Cu Kα).
Neutral-atom scattering factors, no anomalous dispersion.

Crystal structure
```
data_TlCdPd4
_chemical_formula_sum 'Tl4 Cd4 Pd16'
_cell_length_a 7.7658
_cell_length_b 2.9634
_cell_length_c 18.2416
_cell_angle_alpha 90.00
_cell_angle_beta 90.00
_cell_angle_gamma 90.00
_symmetry_space_group_name_H-M 'P n m a'
_symmetry_Int_Tables_number 62
loop_
_symmetry_equiv_pos_as_xyz
'x,y,z'
'-x,-y,-z'
'-x+1/2,-y,z+1/2'
'x+1/2,y,-z+1/2'
'x+1/2,-y+1/2,-z+1/2'
'-x+1/2,y+1/2,z+1/2'
'-x,y+1/2,-z'
'x,-y+1/2,z'
loop_
_atom_site_label
_atom_site_fract_x
_atom_site_fract_y
_atom_site_fract_z
Tl1 0.2369 0.2500 0.0574
Cd1 0.2471 0.7500 0.3095
Pd1 0.0463 0.7500 0.4326
Pd2 0.0712 0.7500 0.6990
Pd3 0.0978 0.7500 0.1747
Pd4 0.1227 0.7500 0.9321
```

Peak list (8 most intense, 5° ≤ 2θ ≤ 70°, in order of falling intensity)
h k l  d_spacing  two_theta  I/Imax
3 0 4  2.251  40.1  100
1 1 4  2.367  38.0  72
0 0 8  2.280  39.5  57
2 1 3  2.197  41.1  48
2 1 0  2.356  38.2  27
1 1 1  2.737  32.7  23
2 1 5  1.979  45.9  23
0 1 5  2.300  39.2  22

=====

Structure and computed X-ray powder pattern of Nd4TlHg2 (a structure optimized by DFT (PBE); Cu Kα).
Neutral-atom scattering factors, no anomalous dispersion.

Crystal structure
```
data_Nd4TlHg2
_chemical_formula_sum 'Nd8 Tl2 Hg4'
_cell_length_a 7.6475
_cell_length_b 7.6475
_cell_length_c 7.5976
_cell_angle_alpha 90.00
_cell_angle_beta 90.00
_cell_angle_gamma 90.00
_symmetry_space_group_name_H-M 'I 4/m m m'
_symmetry_Int_Tables_number 139
_symmetry_space_group_name_Hall '-I 4 2'
loop_
_atom_site_label
_atom_site_fract_x
_atom_site_fract_y
_atom_site_fract_z
Nd1 0.2500 0.2500 0.2500
Tl1 0.0000 0.0000 0.0000
Hg1 0.0000 0.5000 0.0000
```

Peak list (8 most intense, 5° ≤ 2θ ≤ 70°, in order of falling intensity)
h k l  d_spacing  two_theta  I/Imax
2 0 2  2.695  33.2  100
2 2 0  2.704  33.1  50
4 2 2  1.559  59.3  39
1 0 1  5.396  16.4  23
2 2 4  1.554  59.5  19
4 0 0  1.912  47.6  19
1 1 2  3.115  28.7  13
4 0 4  1.347  69.8  12

=====

Structure and computed X-ray powder pattern of Tb2Sc2Rh (a structure optimized by DFT (PBE); Cu Kα).
Neutral-atom scattering factors, no anomalous dispersion.

Crystal structure
```
data_Tb2Sc2Rh
_chemical_formula_sum 'Tb8 Sc8 Rh4'
_cell_length_a 11.9087
_cell_length_b 6.6629
_cell_length_c 6.6617
_cell_angle_alpha 90.00
_cell_angle_beta 106.99
_cell_angle_gamma 90.00
_symmetry_space_group_name_H-M 'C 1 2/c 1'
_symmetry_Int_Tables_number 15
loop_
_symmetry_equiv_pos_as_xyz
'x,y,z'
'-x,-y,-z'
'-x,y,-z+1/2'
'x,-y,z+1/2'
'x+1/2,y+1/2,z'
'-x+1/2,-y+1/2,-z'
'-x+1/2,y+1/2,-z+1/2'
'x+1/2,-y+1/2,z+1/2'
loop_
_atom_site_label
_atom_site_fract_x
_atom_site_fract_y
_atom_site_fract_z
Tb1 0.1482 0.0967 0.1016
Sc1 0.1141 0.3948 0.4779
Rh1 0.0000 0.2981 0.7500
```

Peak list (8 most intense, 5° ≤ 2θ ≤ 70°, in order of falling intensity)
h k l  d_spacing  two_theta  I/Imax
3 1 0  3.295  27.1  100
2 0 2  2.487  36.1  84
2 2 -1  2.779  32.2  60
4 0 -2  2.520  35.6  47
1 1 -2  2.979  30.0  43
0 2 1  2.952  30.3  38
1 1 -1  4.622  19.2  29
1 3 1  2.028  44.7  28

=====

Structure and computed X-ray powder pattern of Na2Ti2S5 (a structure optimized by DFT (PBE); Cu Kα).
Neutral-atom scattering factors, no anomalous dispersion.

Crystal structure
```
data_Na2Ti2S5
_chemical_formula_sum 'Na8 Ti8 S20'
_cell_length_a 6.6375
_cell_length_b 10.2681
_cell_length_c 13.8472
_cell_angle_alpha 90.00
_cell_angle_beta 90.00
_cell_angle_gamma 90.00
_symmetry_space_group_name_H-M 'F m m m'
_symmetry_Int_Tables_number 69
_symmetry_space_group_name_Hall '-F 2 2'
loop_
_atom_site_label
_atom_site_fract_x
_atom_site_fract_y
_atom_site_fract_z
Na1 0.0000 0.0000 0.1992
Ti1 0.0000 0.2170 0.0000
S1 0.0000 0.0000 0.0000
S2 0.2500 0.2500 0.1219
```

Peak list (8 most intense, 5° ≤ 2θ ≤ 70°, in order of falling intensity)
h k l  d_spacing  two_theta  I/Imax
0 2 0  5.134  17.3  100
1 1 1  5.171  17.1  95
0 0 2  6.924  12.8  93
2 0 4  2.396  37.5  92
0 4 0  2.567  35.0  59
0 2 2  4.124  21.5  52
2 2 4  2.171  41.6  52
2 4 4  1.751  52.2  50

=====

Structure and computed X-ray powder pattern of KNa6Cd2 (a structure optimized by DFT (PBE); Cu Kα).
Neutral-atom scattering factors, no anomalous dispersion.

Crystal structure
```
data_KNa6Cd2
_chemical_formula_sum 'K1 Na6 Cd2'
_cell_length_a 5.0185
_cell_length_b 5.0185
_cell_length_c 12.8725
_cell_angle_alpha 90.00
_cell_angle_beta 90.00
_cell_angle_gamma 90.00
_symmetry_space_group_name_H-M 'P 4/m m m'
_symmetry_Int_Tables_number 123
_symmetry_space_group_name_Hall '-P 4 2'
loop_
_atom_site_label
_atom_site_fract_x
_atom_site_fract_y
_atom_site_fract_z
K1 0.0000 0.0000 0.0000
Na1 0.0000 0.0000 0.5000
Na2 0.0000 0.5000 0.2788
Na3 0.5000 0.5000 0.5000
Cd1 0.5000 0.5000 0.1130
```

Peak list (8 most intense, 5° ≤ 2θ ≤ 70°, in order of falling intensity)
h k l  d_spacing  two_theta  I/Imax
0 0 1  12.873  6.9  100
1 0 0  5.019  17.7  42
2 0 0  2.509  35.8  36
1 0 1  4.676  19.0  35
1 1 2  3.108  28.7  35
1 0 4  2.709  33.1  34
1 1 1  3.421  26.0  32
1 1 0  3.549  25.1  26